For Ca2SnWO6, DFT lattice parameters and positions (PBE+U) gives the simulated powder XRD pattern in this record (a wavelength of 1.5418 Å).
Neutral-atom scattering factors, no anomalous dispersion.

Largest 10 diffraction maxima, by intensity, 2θ = 10–80°:
(hkl)	2θ/deg	intensity
1 1 1	30.4	1000
1 1 -1	21.6	981
1 1 -3	30.8	950
0 0 2	21.4	484
0 2 0	29.6	475
2 2 -2	44.0	440
2 0 -2	31.8	416
3 1 -1	55.5	241
0 1 1	18.2	234
0 2 4	53.6	233

Cell and atoms:
```
data_Ca2SnWO6
_chemical_formula_sum 'Ca4 Sn2 W2 O12'
_cell_length_a 5.635
_cell_length_b 6.032
_cell_length_c 9.959
_cell_angle_alpha 90.00
_cell_angle_beta 123.59
_cell_angle_gamma 90.00
_space_group_name_H-M_alt 'P 1 21/c 1'
_space_group_IT_number 14
_space_group_name_Hall '-P 2ybc'
loop_
_atom_site_label
_atom_site_fract_x
_atom_site_fract_y
_atom_site_fract_z
_atom_site_occupancy
Ca1 0.220 0.048 0.231 1
Sn1 0.000 0.000 0.500 1
W1 0.500 0.000 0.000 1
O1 0.169 0.163 0.963 1
O2 0.253 0.736 0.906 1
O3 0.408 0.088 0.786 1
```